Simulated XRD peak list of PrHo3In3 for Cu Ka, from a cell relaxed with GGA-PBE.
Peak positions follow from Bragg's law for the DFT cell and can differ from measured ones.

```
data_PrHo3In3
_chemical_formula_sum 'Pr4 Ho12 In12'
_symmetry_space_group_name_H-M 'P 1'
_symmetry_Int_Tables_number 1
_cell_length_a 9.356
_cell_length_b 9.356
_cell_length_c 9.356
_cell_angle_alpha 90.00
_cell_angle_beta 90.00
_cell_angle_gamma 90.00
loop_
_symmetry_equiv_pos_as_xyz
'x,y,z'
loop_
_atom_site_label
_atom_site_type_symbol
_atom_site_fract_x
_atom_site_fract_y
_atom_site_fract_z
Pr1 Pr 0.049 0.451 0.549
Pr2 Pr 0.451 0.549 0.049
Pr3 Pr 0.549 0.049 0.451
Pr4 Pr 0.951 0.951 0.951
Ho1 Ho 0.117 0.617 0.883
Ho2 Ho 0.169 0.169 0.169
Ho3 Ho 0.200 0.800 0.300
Ho4 Ho 0.300 0.200 0.800
Ho5 Ho 0.331 0.831 0.669
Ho6 Ho 0.383 0.383 0.383
Ho7 Ho 0.617 0.883 0.117
Ho8 Ho 0.669 0.331 0.831
Ho9 Ho 0.700 0.700 0.700
Ho10 Ho 0.800 0.300 0.200
Ho11 Ho 0.831 0.669 0.331
Ho12 Ho 0.883 0.117 0.617
In1 In 0.005 0.800 0.599
In2 In 0.099 0.495 0.200
In3 In 0.200 0.099 0.495
In4 In 0.300 0.901 0.995
In5 In 0.401 0.505 0.700
In6 In 0.495 0.200 0.099
In7 In 0.505 0.700 0.401
In8 In 0.599 0.005 0.800
In9 In 0.700 0.401 0.505
In10 In 0.800 0.599 0.005
In11 In 0.901 0.995 0.300
In12 In 0.995 0.300 0.901
```

Largest 8 diffraction maxima, in order of falling intensity, 10 to 90 degrees two-theta:
30.21 deg, intensity 100.0
35.91 deg, intensity 91.5
34.56 deg, intensity 34.8
31.72 deg, intensity 29.5
63.68 deg, intensity 20.9
49.69 deg, intensity 19.3
61.05 deg, intensity 18.0
64.55 deg, intensity 14.4

Simulated XRD peak list of Lu4Cu2H for Cu Ka, from a cell relaxed with GGA-PBE.
Peak positions follow from Bragg's law for the DFT cell and can differ from measured ones.

```
data_Lu4Cu2H
_chemical_formula_sum 'Lu4 Cu2 H1'
_symmetry_space_group_name_H-M 'P 1'
_symmetry_Int_Tables_number 1
_cell_length_a 7.587
_cell_length_b 7.587
_cell_length_c 7.587
_cell_angle_alpha 144.94
_cell_angle_beta 144.94
_cell_angle_gamma 50.43
loop_
_symmetry_equiv_pos_as_xyz
'x,y,z'
loop_
_atom_site_label
_atom_site_type_symbol
_atom_site_fract_x
_atom_site_fract_y
_atom_site_fract_z
Lu1 Lu 0.000 0.500 0.500
Lu2 Lu 0.188 0.188 0.000
Lu3 Lu 0.500 0.000 0.500
Lu4 Lu 0.812 0.812 0.000
Cu1 Cu 0.382 0.382 0.000
Cu2 Cu 0.618 0.618 0.000
H1 H 0.000 0.000 0.000
```

Largest 8 diffraction maxima, in order of falling intensity, 10 to 90 degrees two-theta:
30.57 deg, intensity 100.0
38.25 deg, intensity 68.5
39.42 deg, intensity 63.5
56.97 deg, intensity 33.5
66.05 deg, intensity 25.4
27.59 deg, intensity 24.3
56.09 deg, intensity 20.6
70.72 deg, intensity 16.9

Simulated XRD peak list of Th4Pt for Cu Ka, from a cell relaxed with GGA-PBE.
Peak positions follow from Bragg's law for the DFT cell and can differ from measured ones.

```
data_Th4Pt
_chemical_formula_sum 'Th4 Pt1'
_symmetry_space_group_name_H-M 'P 1'
_symmetry_Int_Tables_number 1
_cell_length_a 5.606
_cell_length_b 5.606
_cell_length_c 5.606
_cell_angle_alpha 90.00
_cell_angle_beta 90.00
_cell_angle_gamma 90.00
loop_
_symmetry_equiv_pos_as_xyz
'x,y,z'
loop_
_atom_site_label
_atom_site_type_symbol
_atom_site_fract_x
_atom_site_fract_y
_atom_site_fract_z
Th1 Th 0.000 0.000 0.000
Th2 Th 0.000 0.500 0.500
Th3 Th 0.500 0.000 0.500
Th4 Th 0.500 0.500 0.000
Pt1 Pt 0.500 0.500 0.500
```

Largest 8 diffraction maxima, in order of falling intensity, 10 to 90 degrees two-theta:
31.93 deg, intensity 100.0
27.56 deg, intensity 80.8
45.78 deg, intensity 75.5
54.27 deg, intensity 38.9
75.90 deg, intensity 35.1
84.70 deg, intensity 27.1
56.89 deg, intensity 26.8
15.81 deg, intensity 16.8

Simulated XRD peak list of SmAl4Au2 for Cu Ka, from a cell relaxed with GGA-PBE.
Peak positions follow from Bragg's law for the DFT cell and can differ from measured ones.

```
data_SmAl4Au2
_chemical_formula_sum 'Sm4 Al16 Au8'
_symmetry_space_group_name_H-M 'P 1'
_symmetry_Int_Tables_number 1
_cell_length_a 17.396
_cell_length_b 4.381
_cell_length_c 6.894
_cell_angle_alpha 90.00
_cell_angle_beta 90.00
_cell_angle_gamma 90.00
loop_
_symmetry_equiv_pos_as_xyz
'x,y,z'
loop_
_atom_site_label
_atom_site_type_symbol
_atom_site_fract_x
_atom_site_fract_y
_atom_site_fract_z
Sm1 Sm 0.140 0.250 0.010
Sm2 Sm 0.360 0.750 0.510
Sm3 Sm 0.640 0.250 0.490
Sm4 Sm 0.860 0.750 0.990
Al1 Al 0.035 0.750 0.852
Al2 Al 0.067 0.250 0.476
Al3 Al 0.184 0.750 0.324
Al4 Al 0.189 0.750 0.726
Al5 Al 0.311 0.250 0.226
Al6 Al 0.316 0.250 0.824
Al7 Al 0.433 0.750 0.976
Al8 Al 0.465 0.250 0.352
Al9 Al 0.535 0.750 0.648
Al10 Al 0.567 0.250 0.024
Al11 Al 0.684 0.750 0.176
Al12 Al 0.689 0.750 0.774
Al13 Al 0.811 0.250 0.274
Al14 Al 0.816 0.250 0.676
Al15 Al 0.933 0.750 0.524
Al16 Al 0.965 0.250 0.148
Au1 Au 0.036 0.750 0.249
Au2 Au 0.216 0.250 0.528
Au3 Au 0.284 0.750 0.028
Au4 Au 0.464 0.250 0.749
Au5 Au 0.536 0.750 0.251
Au6 Au 0.716 0.250 0.972
Au7 Au 0.784 0.750 0.472
Au8 Au 0.964 0.250 0.751
```

Largest 8 diffraction maxima, in order of falling intensity, 10 to 90 degrees two-theta:
34.68 deg, intensity 100.0
27.84 deg, intensity 75.2
45.82 deg, intensity 62.4
35.43 deg, intensity 57.5
28.93 deg, intensity 55.0
41.21 deg, intensity 50.9
28.63 deg, intensity 42.8
38.51 deg, intensity 40.3

Simulated XRD peak list of Na4Ti6O13 for Cu Ka, from a cell relaxed with GGA-PBE.
Peak positions follow from Bragg's law for the DFT cell and can differ from measured ones.

```
data_Na4Ti6O13
_chemical_formula_sum 'Na4 Ti6 O13'
_symmetry_space_group_name_H-M 'P 1'
_symmetry_Int_Tables_number 1
_cell_length_a 7.490
_cell_length_b 7.490
_cell_length_c 9.160
_cell_angle_alpha 90.41
_cell_angle_beta 90.41
_cell_angle_gamma 30.84
loop_
_symmetry_equiv_pos_as_xyz
'x,y,z'
loop_
_atom_site_label
_atom_site_type_symbol
_atom_site_fract_x
_atom_site_fract_y
_atom_site_fract_z
Na1 Na 0.013 0.013 0.150
Na2 Na 0.107 0.107 0.396
Na3 Na 0.893 0.893 0.604
Na4 Na 0.987 0.987 0.850
Ti1 Ti 0.249 0.249 0.718
Ti2 Ti 0.330 0.330 0.037
Ti3 Ti 0.391 0.391 0.369
Ti4 Ti 0.609 0.609 0.631
Ti5 Ti 0.670 0.670 0.963
Ti6 Ti 0.751 0.751 0.282
O1 O 0.112 0.112 0.649
O2 O 0.193 0.193 0.946
O3 O 0.262 0.262 0.255
O4 O 0.316 0.316 0.552
O5 O 0.368 0.368 0.847
O6 O 0.433 0.433 0.157
O7 O 0.500 0.500 0.500
O8 O 0.567 0.567 0.843
O9 O 0.632 0.632 0.153
O10 O 0.684 0.684 0.448
O11 O 0.738 0.738 0.745
O12 O 0.807 0.807 0.054
O13 O 0.888 0.888 0.351
```

Largest 8 diffraction maxima, in order of falling intensity, 10 to 90 degrees two-theta:
30.69 deg, intensity 100.0
12.26 deg, intensity 98.5
45.55 deg, intensity 87.4
31.70 deg, intensity 71.5
15.57 deg, intensity 60.8
41.27 deg, intensity 49.9
29.10 deg, intensity 46.2
42.56 deg, intensity 42.5

Simulated XRD peak list of Li2MoRh for Cu Ka, from a cell relaxed with GGA-PBE.
Peak positions follow from Bragg's law for the DFT cell and can differ from measured ones.

```
data_Li2MoRh
_chemical_formula_sum 'Li2 Mo1 Rh1'
_symmetry_space_group_name_H-M 'P 1'
_symmetry_Int_Tables_number 1
_cell_length_a 4.870
_cell_length_b 4.870
_cell_length_c 4.870
_cell_angle_alpha 145.36
_cell_angle_beta 125.72
_cell_angle_gamma 66.01
loop_
_symmetry_equiv_pos_as_xyz
'x,y,z'
loop_
_atom_site_label
_atom_site_type_symbol
_atom_site_fract_x
_atom_site_fract_y
_atom_site_fract_z
Li1 Li 0.000 0.000 0.000
Li2 Li 0.779 0.279 0.500
Mo1 Mo 0.267 0.767 0.500
Rh1 Rh 0.532 0.532 0.000
```

Largest 8 diffraction maxima, in order of falling intensity, 10 to 90 degrees two-theta:
22.78 deg, intensity 100.0
43.35 deg, intensity 96.3
32.77 deg, intensity 49.1
38.79 deg, intensity 37.0
40.61 deg, intensity 29.5
53.13 deg, intensity 24.0
44.36 deg, intensity 21.7
75.79 deg, intensity 17.9